Diffraction record for Ti3Fe9O16. The PXRD pattern is calculated, not measured: it uses a structure optimized by DFT (GGA+U) and Cu Kα X-rays.

Main lines, most intense first (15° ≤ 2θ ≤ 90°):
2θ/deg	d_spacing	intensity	h k l
34.76	2.581	100.0	1 -4 1
34.45	2.604	98.7	2 1 0
34.01	2.636	97.4	0 3 2
60.13	1.539	44.4	2 0 -6
54.39	1.687	32.2	0 1 6
29.01	3.078	31.6	1 2 1
29.20	3.058	31.5	1 -1 3
55.30	1.661	30.7	2 3 -4

Structure:
```
data_Ti3Fe9O16
_chemical_formula_sum 'Ti6 Fe18 O32'
_cell_length_a 6.058
_cell_length_b 10.535
_cell_length_c 10.669
_cell_angle_alpha 98.45
_cell_angle_beta 90.39
_cell_angle_gamma 106.09
_space_group_name_H-M_alt 'P -1'
_space_group_IT_number 2
_space_group_name_Hall '-P 1'
loop_
_atom_site_label
_atom_site_type_symbol
_atom_site_fract_x
_atom_site_fract_y
_atom_site_fract_z
Ti1 Ti 0.000 0.000 0.000
Ti2 Ti 0.000 0.500 0.500
Ti3 Ti 0.250 0.003 0.257
Ti4 Ti 0.252 0.506 0.754
Fe1 Fe 0.000 0.000 0.500
Fe2 Fe 0.074 0.681 0.033
Fe3 Fe 0.126 0.751 0.374
Fe4 Fe 0.164 0.820 0.715
Fe5 Fe 0.254 0.502 0.251
Fe6 Fe 0.341 0.186 0.784
Fe7 Fe 0.380 0.254 0.126
Fe8 Fe 0.409 0.320 0.471
Fe9 Fe 0.500 0.000 0.000
Fe10 Fe 0.500 0.000 0.500
Fe11 Fe 0.500 0.500 0.000
O1 O 0.044 0.114 0.699
O2 O 0.049 0.619 0.204
O3 O 0.063 0.610 0.675
O4 O 0.065 0.106 0.172
O5 O 0.176 0.392 0.572
O6 O 0.190 0.894 0.061
O7 O 0.193 0.880 0.543
O8 O 0.218 0.387 0.078
O9 O 0.282 0.607 0.432
O10 O 0.294 0.612 0.915
O11 O 0.299 0.115 0.944
O12 O 0.305 0.117 0.411
O13 O 0.424 0.377 0.803
O14 O 0.428 0.884 0.299
O15 O 0.463 0.390 0.303
O16 O 0.472 0.891 0.826
```